Calculated powder X-ray diffraction pattern of Rb2Cd12Au7 for Cu Ka, from the GGA-PBE geometry in Alexandria.
Peak positions follow from Bragg's law for the DFT cell and can differ from measured ones.

Principal peaks in the range 5° ≤ 2θ ≤ 70°, in order of rising 2θ:
- 2θ 24.10, rel. 318, (2 1 0)
- 2θ 31.08, rel. 1000, (2 1 1)
- 2θ 37.42, rel. 496, (2 2 1)
- 2θ 38.58, rel. 910, (1 3 1)
- 2θ 39.26, rel. 530, (0 0 2)
- 2θ 45.01, rel. 284, (3 2 1)

Cell lengths 11.2824, 11.2824, 4.5894 Å; angles 90.00, 90.00, 120.00 degrees
Space group P-6 (No. 174)
One atom of each set of equivalent atoms:
1 Rb 0.0000 0.0000 0.0000 (multiplicity 1)
2 Rb 0.3333 0.6667 0.5000 (multiplicity 1)
3 Cd 0.0288 0.2861 0.5000 (multiplicity 3)
4 Cd 0.1340 0.7432 0.0000 (multiplicity 3)
5 Cd 0.3793 0.1943 0.0000 (multiplicity 3)
6 Cd 0.5528 0.4226 0.5000 (multiplicity 3)
7 Au 0.0413 0.4576 0.0000 (multiplicity 3)
8 Au 0.2532 0.2341 0.5000 (multiplicity 3)
9 Au 0.6667 0.3333 0.0000 (multiplicity 1)



Calculated powder X-ray diffraction pattern of Pr4YEr8 for Cu Ka, from the GGA-PBE geometry in Alexandria.
Peak positions follow from Bragg's law for the DFT cell and can differ from measured ones.

Principal peaks in the range 5° ≤ 2θ ≤ 70°, in order of rising 2θ:
- 2θ 19.69, rel. 137, (1 1 1)
- 2θ 22.78, rel. 133, (2 0 0)
- 2θ 32.43, rel. 1000, (2 2 0)
- 2θ 46.52, rel. 180, (4 0 0)
- 2θ 57.85, rel. 369, (4 2 2)
- 2θ 67.91, rel. 111, (4 4 0)

Cell lengths 7.808, 7.808, 7.808 Å; angles 90.00, 90.00, 90.00 degrees
Space group Pm-3m (No. 221)
One atom of each set of equivalent atoms:
1 Pr 0.000 0.000 0.000 (multiplicity 1)
2 Pr 0.000 0.500 0.500 (multiplicity 3)
3 Y 0.500 0.500 0.500 (multiplicity 1)
4 Er 0.240 0.240 0.240 (multiplicity 8)